Record 1
For K3ErF6, DFT lattice parameters and positions (GGA-PBE) gives the theoretical XRD peak list in this record (Cu Kα, 1.54184 Å).
No peak broadening, texture or thermal motion is included.

Cell and atoms:
Lattice parameters (Å, degrees): 6.1080 6.4303 10.4467 90.00 124.10 90.00
Fractional coordinates of all 20 atoms:
K 0.0000 0.0000 0.0000
K 0.0000 0.5000 0.5000
K 0.2236 0.0623 0.7450
K 0.2236 0.4377 0.2450
K 0.7764 0.5623 0.7550
K 0.7764 0.9377 0.2550
Er 0.5000 0.0000 0.5000
Er 0.5000 0.5000 0.0000
F 0.1611 0.1757 0.4465
F 0.1611 0.3243 0.9465
F 0.2577 0.7252 0.4248
F 0.2577 0.7748 0.9248
F 0.3992 0.0627 0.2715
F 0.3992 0.4373 0.7715
F 0.6008 0.5627 0.2285
F 0.6008 0.9373 0.7285
F 0.7423 0.2252 0.0752
F 0.7423 0.2748 0.5752
F 0.8389 0.6757 0.0535
F 0.8389 0.8243 0.5535

Largest 10 diffraction maxima, by angle, 2θ from 10° to 90°:
17.18°, intensity 80
17.53°, intensity 28
18.02°, intensity 38
20.05°, intensity 62
20.53°, intensity 26
27.75°, intensity 34
28.55°, intensity 75
29.19°, intensity 100
40.76°, intensity 40
51.05°, intensity 30

***

Record 2
For KEr3F10, DFT lattice parameters and positions (GGA-PBE) gives the theoretical XRD peak list in this record (Cu Kα, 1.54184 Å).
No peak broadening, texture or thermal motion is included.

Cell and atoms:
Lattice parameters (Å, degrees): 7.9431 7.9431 7.9431 60.00 60.00 60.00
Fractional coordinates of all 28 atoms:
K 0.2500 0.2500 0.2500
K 0.7500 0.7500 0.7500
Er 0.2396 0.2396 0.7604
Er 0.2396 0.7604 0.2396
Er 0.2396 0.7604 0.7604
Er 0.7604 0.2396 0.2396
Er 0.7604 0.2396 0.7604
Er 0.7604 0.7604 0.2396
F 0.1133 0.1133 0.1133
F 0.1133 0.1133 0.6600
F 0.1133 0.6600 0.1133
F 0.1656 0.5000 0.5000
F 0.1656 0.5000 0.8344
F 0.1656 0.8344 0.5000
F 0.3400 0.8867 0.8867
F 0.5000 0.1656 0.5000
F 0.5000 0.1656 0.8344
F 0.5000 0.5000 0.1656
F 0.5000 0.5000 0.8344
F 0.5000 0.8344 0.1656
F 0.5000 0.8344 0.5000
F 0.6600 0.1133 0.1133
F 0.8344 0.1656 0.5000
F 0.8344 0.5000 0.1656
F 0.8344 0.5000 0.5000
F 0.8867 0.3400 0.8867
F 0.8867 0.8867 0.3400
F 0.8867 0.8867 0.8867

Largest 10 diffraction maxima, by angle, 2θ from 10° to 90°:
15.78°, intensity 20
22.39°, intensity 22
27.51°, intensity 100
31.87°, intensity 42
45.69°, intensity 48
54.16°, intensity 55
56.78°, intensity 12
73.50°, intensity 19
75.73°, intensity 13
84.51°, intensity 16